No. 1
NaSr3Pt: calculated powder XRD pattern (Cu Kα (λ = 1.5418 Å)), based on DFT lattice parameters and positions (PBE).
Peak positions follow from Bragg's law for the DFT cell and can differ from measured ones.

Structure:
```
data_NaSr3Pt
_chemical_formula_sum 'Na2 Sr6 Pt2'
_cell_length_a 8.437
_cell_length_b 8.437
_cell_length_c 5.969
_cell_angle_alpha 90.00
_cell_angle_beta 90.00
_cell_angle_gamma 90.00
_symmetry_space_group_name_H-M 'P 4/m b m'
_symmetry_Int_Tables_number 127
_symmetry_space_group_name_Hall '-P 4 2ab'
loop_
_atom_site_label
_atom_site_type_symbol
_atom_site_fract_x
_atom_site_fract_y
_atom_site_fract_z
Na1 Na 0.000 0.500 0.000
Sr1 Sr 0.000 0.000 0.000
Sr2 Sr 0.248 0.252 0.500
Pt1 Pt 0.000 0.000 0.500
```

Peak list (10 most intense, 10° ≤ 2θ ≤ 80°, sorted by position)
| (hkl) | 2θ/deg | intensity |
| --- | --- | --- |
| 1 1 0 | 14.85 | 100 |
| 2 0 0 | 21.06 | 22 |
| 2 2 0 | 29.95 | 68 |
| 3 1 0 | 33.59 | 56 |
| 4 0 0 | 42.87 | 51 |
| 3 1 2 | 45.61 | 30 |
| 4 0 2 | 53.18 | 18 |
| 5 3 0 | 64.38 | 18 |
| 4 4 2 | 70.60 | 23 |
| 6 2 2 | 78.54 | 17 |

No. 2
NaTb3Pt8: calculated powder XRD pattern (Cu Kα (λ = 1.5418 Å)), based on DFT lattice parameters and positions (PBE).
Peak positions follow from Bragg's law for the DFT cell and can differ from measured ones.

Structure:
```
data_NaTb3Pt8
_chemical_formula_sum 'Na3 Tb9 Pt24'
_cell_length_a 5.4349
_cell_length_b 5.4349
_cell_length_c 26.6002
_cell_angle_alpha 90.00
_cell_angle_beta 90.00
_cell_angle_gamma 120.00
_symmetry_space_group_name_H-M 'R 3 m'
_symmetry_Int_Tables_number 160
_symmetry_space_group_name_Hall 'R 3 -2"'
loop_
_atom_site_label
_atom_site_type_symbol
_atom_site_fract_x
_atom_site_fract_y
_atom_site_fract_z
Na1 Na 0.0000 0.0000 0.0000
Tb1 Tb 0.0000 0.0000 0.3662
Tb2 Tb 0.0000 0.0000 0.4941
Tb3 Tb 0.0000 0.0000 0.8784
Pt1 Pt 0.0000 0.0000 0.1844
Pt2 Pt 0.0000 0.0000 0.6843
Pt3 Pt 0.0020 0.5010 0.4355
Pt4 Pt 0.1683 0.3366 0.2668
```

Peak list (10 most intense, 10° ≤ 2θ ≤ 80°, sorted by position)
| (hkl) | 2θ/deg | intensity |
| --- | --- | --- |
| 0 0 6 | 20.02 | 26 |
| 1 1 0 | 32.97 | 15 |
| 2 0 2 | 38.87 | 100 |
| 0 2 4 | 40.68 | 56 |
| 2 0 8 | 47.32 | 13 |
| 0 1 14 | 51.87 | 7 |
| 3 0 0 | 58.88 | 5 |
| 2 1 10 | 62.84 | 32 |
| 2 2 0 | 69.16 | 30 |
| 1 2 14 | 72.82 | 5 |

No. 3
RbNaPuTe3: calculated powder XRD pattern (Cu Kα (λ = 1.5418 Å)), based on DFT lattice parameters and positions (PBE).
Peak positions follow from Bragg's law for the DFT cell and can differ from measured ones.

Structure:
```
data_RbNaPuTe3
_chemical_formula_sum 'Rb4 Na4 Pu4 Te12'
_cell_length_a 4.691
_cell_length_b 15.829
_cell_length_c 12.001
_cell_angle_alpha 90.00
_cell_angle_beta 90.00
_cell_angle_gamma 90.00
_symmetry_space_group_name_H-M 'C m c m'
_symmetry_Int_Tables_number 63
_symmetry_space_group_name_Hall '-C 2c 2'
loop_
_atom_site_label
_atom_site_type_symbol
_atom_site_fract_x
_atom_site_fract_y
_atom_site_fract_z
Rb1 Rb 0.000 0.238 0.250
Na1 Na 0.000 0.053 0.750
Pu1 Pu 0.000 0.500 0.000
Te1 Te 0.000 0.128 0.525
Te2 Te 0.000 0.441 0.750
```

Peak list (10 most intense, 10° ≤ 2θ ≤ 80°, sorted by position)
| (hkl) | 2θ/deg | intensity |
| --- | --- | --- |
| 0 2 0 | 11.18 | 86 |
| 0 0 2 | 14.76 | 41 |
| 0 2 2 | 18.56 | 36 |
| 1 3 0 | 25.41 | 100 |
| 1 3 1 | 26.49 | 47 |
| 1 3 2 | 29.51 | 72 |
| 0 0 4 | 29.78 | 66 |
| 1 5 2 | 37.40 | 65 |
| 2 0 0 | 38.38 | 38 |
| 1 3 4 | 39.53 | 54 |

No. 4
NaTbPu: calculated powder XRD pattern (Cu Kα (λ = 1.5418 Å)), based on DFT lattice parameters and positions (PBE).
Peak positions follow from Bragg's law for the DFT cell and can differ from measured ones.

Structure:
```
data_NaTbPu
_chemical_formula_sum 'Na4 Tb4 Pu4'
_cell_length_a 7.470
_cell_length_b 7.470
_cell_length_c 7.470
_cell_angle_alpha 90.00
_cell_angle_beta 90.00
_cell_angle_gamma 90.00
_symmetry_space_group_name_H-M 'F -4 3 m'
_symmetry_Int_Tables_number 216
_symmetry_space_group_name_Hall 'F -4 2 3'
loop_
_atom_site_label
_atom_site_type_symbol
_atom_site_fract_x
_atom_site_fract_y
_atom_site_fract_z
Na1 Na 0.000 0.000 0.000
Tb1 Tb 0.250 0.250 0.250
Pu1 Pu 0.250 0.250 0.750
```

Peak list (10 most intense, 10° ≤ 2θ ≤ 80°, sorted by position)
| (hkl) | 2θ/deg | intensity |
| --- | --- | --- |
| 1 1 1 | 20.59 | 8 |
| 2 0 0 | 23.82 | 95 |
| 2 2 0 | 33.94 | 100 |
| 3 1 1 | 40.03 | 5 |
| 2 2 2 | 41.89 | 29 |
| 4 0 0 | 48.76 | 18 |
| 4 2 0 | 54.97 | 41 |
| 4 2 2 | 60.74 | 38 |
| 4 4 0 | 71.44 | 12 |
| 6 0 0 | 76.52 | 20 |

No. 5
Rb3NaZn2Sn2: calculated powder XRD pattern (Cu Kα (λ = 1.5418 Å)), based on DFT lattice parameters and positions (PBE).
Peak positions follow from Bragg's law for the DFT cell and can differ from measured ones.

Structure:
```
data_Rb3NaZn2Sn2
_chemical_formula_sum 'Rb3 Na1 Zn2 Sn2'
_cell_length_a 6.784
_cell_length_b 6.449
_cell_length_c 7.073
_cell_angle_alpha 90.00
_cell_angle_beta 105.77
_cell_angle_gamma 90.00
_symmetry_space_group_name_H-M 'P 1 m 1'
_symmetry_Int_Tables_number 6
loop_
_symmetry_equiv_pos_as_xyz
'x,y,z'
'x,-y,z'
loop_
_atom_site_label
_atom_site_type_symbol
_atom_site_fract_x
_atom_site_fract_y
_atom_site_fract_z
Rb1 Rb 0.000 0.000 0.000
Rb2 Rb 0.070 0.500 0.365
Rb3 Rb 0.704 0.500 0.684
Na1 Na 0.361 0.000 0.671
Zn1 Zn 0.528 0.253 0.162
Sn1 Sn 0.278 0.500 0.915
Sn2 Sn 0.740 0.000 0.434
```

Peak list (10 most intense, 10° ≤ 2θ ≤ 80°, sorted by position)
| (hkl) | 2θ/deg | intensity |
| --- | --- | --- |
| 1 0 -1 | 16.05 | 48 |
| 1 1 0 | 19.35 | 37 |
| 1 1 1 | 25.40 | 51 |
| 2 0 -1 | 26.89 | 45 |
| 0 2 0 | 27.67 | 37 |
| 1 1 -2 | 29.54 | 100 |
| 2 1 -1 | 30.31 | 74 |
| 1 2 1 | 35.16 | 58 |
| 0 2 2 | 38.46 | 31 |
| 3 2 0 | 50.61 | 38 |

No. 6
RbNaZrTe3: calculated powder XRD pattern (Cu Kα (λ = 1.5418 Å)), based on DFT lattice parameters and positions (PBE).
Peak positions follow from Bragg's law for the DFT cell and can differ from measured ones.

Structure:
```
data_RbNaZrTe3
_chemical_formula_sum 'Rb4 Na4 Zr4 Te12'
_cell_length_a 16.330
_cell_length_b 4.339
_cell_length_c 12.000
_cell_angle_alpha 90.00
_cell_angle_beta 90.00
_cell_angle_gamma 90.00
_symmetry_space_group_name_H-M 'P n m a'
_symmetry_Int_Tables_number 62
loop_
_symmetry_equiv_pos_as_xyz
'x,y,z'
'-x,-y,-z'
'-x+1/2,-y,z+1/2'
'x+1/2,y,-z+1/2'
'x+1/2,-y+1/2,-z+1/2'
'-x+1/2,y+1/2,z+1/2'
'-x,y+1/2,-z'
'x,-y+1/2,z'
loop_
_atom_site_label
_atom_site_type_symbol
_atom_site_fract_x
_atom_site_fract_y
_atom_site_fract_z
Rb1 Rb 0.234 0.250 0.046
Na1 Na 0.023 0.750 0.089
Zr1 Zr 0.014 0.250 0.335
Te1 Te 0.087 0.250 0.565
Te2 Te 0.096 0.750 0.849
Te3 Te 0.134 0.750 0.283
```

Peak list (10 most intense, 10° ≤ 2θ ≤ 80°, sorted by position)
| (hkl) | 2θ/deg | intensity |
| --- | --- | --- |
| 2 0 0 | 10.84 | 42 |
| 2 0 3 | 24.79 | 41 |
| 3 1 1 | 27.31 | 100 |
| 2 1 2 | 27.62 | 71 |
| 1 0 4 | 30.28 | 73 |
| 4 1 1 | 30.97 | 28 |
| 5 1 2 | 37.59 | 49 |
| 0 2 0 | 41.62 | 36 |
| 0 1 5 | 43.08 | 21 |
| 2 1 5 | 44.55 | 25 |

No. 7
NaTaSeS: calculated powder XRD pattern (Cu Kα (λ = 1.5418 Å)), based on DFT lattice parameters and positions (PBE).
Peak positions follow from Bragg's law for the DFT cell and can differ from measured ones.

Structure:
```
data_NaTaSeS
_chemical_formula_sum 'Na2 Ta2 Se2 S2'
_cell_length_a 3.4686
_cell_length_b 3.4686
_cell_length_c 14.6723
_cell_angle_alpha 90.00
_cell_angle_beta 90.00
_cell_angle_gamma 120.00
_symmetry_space_group_name_H-M 'P 63 m c'
_symmetry_Int_Tables_number 186
_symmetry_space_group_name_Hall 'P 6c -2c'
loop_
_atom_site_label
_atom_site_type_symbol
_atom_site_fract_x
_atom_site_fract_y
_atom_site_fract_z
Na1 Na 0.0000 0.0000 0.0000
Ta1 Ta 0.0000 0.0000 0.2386
Se1 Se 0.3333 0.6667 0.3535
S1 S 0.3333 0.6667 0.1342
```

Peak list (10 most intense, 10° ≤ 2θ ≤ 80°, sorted by position)
| (hkl) | 2θ/deg | intensity |
| --- | --- | --- |
| 0 0 2 | 12.06 | 100 |
| 1 0 0 | 29.74 | 25 |
| 1 0 1 | 30.37 | 14 |
| 1 0 2 | 32.20 | 41 |
| 1 0 4 | 38.75 | 75 |
| 1 0 6 | 47.97 | 21 |
| 1 1 0 | 52.78 | 23 |
| 1 1 2 | 54.36 | 14 |
| 2 0 4 | 67.37 | 14 |
| 1 1 8 | 75.44 | 13 |

No. 8
Na2Ta2Se3S: calculated powder XRD pattern (Cu Kα (λ = 1.5418 Å)), based on DFT lattice parameters and positions (PBE).
Peak positions follow from Bragg's law for the DFT cell and can differ from measured ones.

Structure:
```
data_Na2Ta2Se3S
_chemical_formula_sum 'Na2 Ta2 Se3 S1'
_cell_length_a 3.5066
_cell_length_b 3.5066
_cell_length_c 14.8763
_cell_angle_alpha 90.00
_cell_angle_beta 90.00
_cell_angle_gamma 120.00
_symmetry_space_group_name_H-M 'P 3 m 1'
_symmetry_Int_Tables_number 156
loop_
_symmetry_equiv_pos_as_xyz
'x,y,z'
'-y,x-y,z'
'-x+y,-x,z'
'-y,-x,z'
'-x+y,y,z'
'x,x-y,z'
loop_
_atom_site_label
_atom_site_type_symbol
_atom_site_fract_x
_atom_site_fract_y
_atom_site_fract_z
Na1 Na 0.0000 0.0000 0.0000
Na2 Na 0.0000 0.0000 0.4905
Ta1 Ta 0.0000 0.0000 0.2358
Ta2 Ta 0.0000 0.0000 0.7428
Se1 Se 0.3333 0.6667 0.6307
Se2 Se 0.3333 0.6667 0.8550
Se3 Se 0.6667 0.3333 0.3483
S1 S 0.6667 0.3333 0.1336
```

Peak list (10 most intense, 10° ≤ 2θ ≤ 80°, sorted by position)
| (hkl) | 2θ/deg | intensity |
| --- | --- | --- |
| 0 0 2 | 11.90 | 100 |
| 1 0 0 | 29.41 | 21 |
| 1 0 1 | 30.03 | 19 |
| 1 0 2 | 31.83 | 38 |
| 1 0 4 | 38.26 | 80 |
| 0 1 6 | 47.33 | 22 |
| 1 1 0 | 52.17 | 26 |
| 1 1 2 | 53.71 | 14 |
| 0 2 4 | 66.51 | 16 |
| 1 1 8 | 74.36 | 14 |

No. 9
NaTaSeS: calculated powder XRD pattern (Cu Kα (λ = 1.5418 Å)), based on DFT lattice parameters and positions (PBE).
Peak positions follow from Bragg's law for the DFT cell and can differ from measured ones.

Structure:
```
data_NaTaSeS
_chemical_formula_sum 'Na2 Ta2 Se2 S2'
_cell_length_a 3.4672
_cell_length_b 3.4672
_cell_length_c 14.6830
_cell_angle_alpha 90.00
_cell_angle_beta 90.00
_cell_angle_gamma 120.00
_symmetry_space_group_name_H-M 'P -6 m 2'
_symmetry_Int_Tables_number 187
_symmetry_space_group_name_Hall 'P -6 2'
loop_
_atom_site_label
_atom_site_type_symbol
_atom_site_fract_x
_atom_site_fract_y
_atom_site_fract_z
Na1 Na 0.0000 0.0000 0.2409
Ta1 Ta 0.0000 0.0000 0.0000
Ta2 Ta 0.0000 0.0000 0.5000
Se1 Se 0.3333 0.6667 0.3856
S1 S 0.6667 0.3333 0.1049
```

Peak list (10 most intense, 10° ≤ 2θ ≤ 80°, sorted by position)
| (hkl) | 2θ/deg | intensity |
| --- | --- | --- |
| 0 0 2 | 12.06 | 100 |
| 1 0 0 | 29.75 | 28 |
| 1 0 1 | 30.39 | 15 |
| 1 0 2 | 32.21 | 42 |
| 1 0 4 | 38.74 | 81 |
| 1 0 6 | 47.96 | 22 |
| 1 1 0 | 52.81 | 24 |
| 1 1 2 | 54.38 | 14 |
| 2 0 4 | 67.39 | 16 |
| 1 1 8 | 75.43 | 14 |

No. 10
Na2TmSiS4: calculated powder XRD pattern (Cu Kα (λ = 1.5418 Å)), based on DFT lattice parameters and positions (PBE).
Peak positions follow from Bragg's law for the DFT cell and can differ from measured ones.

Structure:
```
data_Na2TmSiS4
_chemical_formula_sum 'Na4 Tm2 Si2 S8'
_cell_length_a 6.441
_cell_length_b 6.441
_cell_length_c 9.926
_cell_angle_alpha 90.00
_cell_angle_beta 90.00
_cell_angle_gamma 90.00
_symmetry_space_group_name_H-M 'I -4'
_symmetry_Int_Tables_number 82
loop_
_symmetry_equiv_pos_as_xyz
'x,y,z'
'y,-x,-z'
'-x,-y,z'
'-y,x,-z'
'x+1/2,y+1/2,z+1/2'
'y+1/2,-x+1/2,-z+1/2'
'-x+1/2,-y+1/2,z+1/2'
'-y+1/2,x+1/2,-z+1/2'
loop_
_atom_site_label
_atom_site_type_symbol
_atom_site_fract_x
_atom_site_fract_y
_atom_site_fract_z
Na1 Na 0.000 0.000 0.000
Na2 Na 0.000 0.500 0.250
Tm1 Tm 0.000 0.000 0.500
Si1 Si 0.000 0.500 0.750
S1 S 0.199 0.279 0.635
```

Peak list (10 most intense, 10° ≤ 2θ ≤ 80°, sorted by position)
| (hkl) | 2θ/deg | intensity |
| --- | --- | --- |
| 1 0 1 | 16.41 | 93 |
| 1 1 0 | 19.49 | 22 |
| 1 1 2 | 26.56 | 100 |
| 1 0 3 | 30.37 | 17 |
| 1 2 1 | 32.36 | 32 |
| 2 0 2 | 33.16 | 17 |
| 2 2 0 | 39.57 | 26 |
| 2 1 3 | 41.57 | 20 |
| 2 0 4 | 46.18 | 35 |
| 3 1 2 | 48.30 | 33 |

No. 11
Na2ZrTeS2: calculated powder XRD pattern (Cu Kα (λ = 1.5418 Å)), based on DFT lattice parameters and positions (PBE).
Peak positions follow from Bragg's law for the DFT cell and can differ from measured ones.

Structure:
```
data_Na2ZrTeS2
_chemical_formula_sum 'Na8 Zr4 Te4 S8'
_cell_length_a 6.882
_cell_length_b 12.391
_cell_length_c 7.401
_cell_angle_alpha 90.00
_cell_angle_beta 109.82
_cell_angle_gamma 90.00
_symmetry_space_group_name_H-M 'C 1 2/m 1'
_symmetry_Int_Tables_number 12
loop_
_symmetry_equiv_pos_as_xyz
'x,y,z'
'-x,-y,-z'
'-x,y,-z'
'x,-y,z'
'x+1/2,y+1/2,z'
'-x+1/2,-y+1/2,-z'
'-x+1/2,y+1/2,-z'
'x+1/2,-y+1/2,z'
loop_
_atom_site_label
_atom_site_type_symbol
_atom_site_fract_x
_atom_site_fract_y
_atom_site_fract_z
Na1 Na 0.000 0.000 0.000
Na2 Na 0.000 0.175 0.500
Na3 Na 0.000 0.500 0.500
Zr1 Zr 0.000 0.313 0.000
Te1 Te 0.227 0.500 0.234
S1 S 0.238 0.317 0.788
```

Peak list (10 most intense, 10° ≤ 2θ ≤ 80°, sorted by position)
| (hkl) | 2θ/deg | intensity |
| --- | --- | --- |
| 0 0 1 | 12.71 | 26 |
| 1 1 -1 | 16.81 | 40 |
| 0 2 2 | 29.43 | 14 |
| 2 0 -2 | 30.71 | 100 |
| 2 2 0 | 31.17 | 11 |
| 1 3 -3 | 42.70 | 24 |
| 0 6 0 | 43.84 | 10 |
| 2 0 2 | 44.20 | 12 |
| 3 3 -1 | 45.23 | 21 |
| 2 6 -2 | 54.46 | 12 |